Starting from a cell relaxed with GGA-PBE, the powder diffractogram of Rb6Cd2Hg was calculated for Cu Kα (weighted mean of Kα1 and Kα2).
Lines closer than 0.1° are merged.

Structural model:
```
data_Rb6Cd2Hg
_symmetry_space_group_name_H-M 'I m m m'
_symmetry_Int_Tables_number 71
_symmetry_space_group_name_Hall '-I 2 2'
_cell_length_a 12.3984
_cell_length_b 12.4227
_cell_length_c 13.4576
_cell_angle_alpha 90.00
_cell_angle_beta 90.00
_cell_angle_gamma 90.00
loop_
_atom_site_label
_atom_site_type_symbol
_atom_site_fract_x
_atom_site_fract_y
_atom_site_fract_z
Rb1 Rb 0.0000 0.2062 0.1749
Rb2 Rb 0.1808 0.2322 0.5000
Rb3 Rb 0.1978 0.5000 0.2552
Cd1 Cd 0.0000 0.0000 0.3903
Cd2 Cd 0.1241 0.0000 0.0000
Hg1 Hg 0.0000 0.5000 0.0000
Hg2 Hg 0.0000 0.5000 0.5000
```

The 10 most intense peaks (10° ≤ 2θ ≤ 80°), in order of rising 2θ:
| Position (°2θ) | d_spacing | I (rel.) | hkl |
| --- | --- | --- | --- |
| 14.27 | 6.206 | 37 | 0 2 0 |
| 24.22 | 3.675 | 100 | 2 2 2 |
| 25.53 | 3.490 | 37 | 1 2 3 |
| 26.30 | 3.388 | 53 | 3 1 2 |
| 26.74 | 3.334 | 48 | 3 2 1 |
| 28.76 | 3.105 | 45 | 0 4 0 |
| 35.13 | 2.554 | 18 | 3 1 4 |
| 44.64 | 2.030 | 22 | 3 5 2 |
| 46.04 | 1.971 | 23 | 5 1 4 |
| 50.76 | 1.798 | 20 | 5 3 4 |



Starting from a cell relaxed with GGA-PBE, the powder diffractogram of RbCd3Hg9 was calculated for Cu Kα (weighted mean of Kα1 and Kα2).
Lines closer than 0.1° are merged.

Structural model:
```
data_RbCd3Hg9
_symmetry_space_group_name_H-M 'C 1 2/m 1'
_symmetry_Int_Tables_number 12
_cell_length_a 6.0956
_cell_length_b 15.6123
_cell_length_c 8.1721
_cell_angle_alpha 90.00
_cell_angle_beta 110.00
_cell_angle_gamma 90.00
loop_
_symmetry_equiv_pos_as_xyz
'x,y,z'
'-x,-y,-z'
'-x,y,-z'
'x,-y,z'
'x+1/2,y+1/2,z'
'-x+1/2,-y+1/2,-z'
'-x+1/2,y+1/2,-z'
'x+1/2,-y+1/2,z'
loop_
_atom_site_label
_atom_site_type_symbol
_atom_site_fract_x
_atom_site_fract_y
_atom_site_fract_z
Rb1 Rb 0.0000 0.0000 0.0000
Cd1 Cd 0.0000 0.5000 0.5000
Cd2 Cd 0.2500 0.2500 0.0000
Hg1 Hg 0.0000 0.0000 0.5000
Hg2 Hg 0.0981 0.3919 0.2136
Hg3 Hg 0.1713 0.1778 0.3530
```

The 10 most intense peaks (10° ≤ 2θ ≤ 80°), in order of rising 2θ:
| Position (°2θ) | d_spacing | I (rel.) | hkl |
| --- | --- | --- | --- |
| 28.81 | 3.099 | 20 | 1 3 -2 |
| 29.32 | 3.046 | 21 | 2 0 -1 |
| 32.70 | 2.738 | 100 | 0 4 2 |
| 33.32 | 2.689 | 21 | 2 2 0 |
| 34.01 | 2.636 | 21 | 2 2 -2 |
| 36.46 | 2.464 | 19 | 0 6 1 |
| 36.60 | 2.455 | 25 | 1 5 1 |
| 36.99 | 2.430 | 30 | 0 2 3 |
| 37.45 | 2.401 | 48 | 2 4 -1 |
| 58.33 | 1.582 | 20 | 2 6 2 |



Starting from a cell relaxed with GGA-PBE, the powder diffractogram of RbCdSnHg was calculated for Cu Kα (weighted mean of Kα1 and Kα2).
Lines closer than 0.1° are merged.

Structural model:
```
data_RbCdSnHg
_symmetry_space_group_name_H-M 'F -4 3 m'
_symmetry_Int_Tables_number 216
_symmetry_space_group_name_Hall 'F -4 2 3'
_cell_length_a 7.8598
_cell_length_b 7.8598
_cell_length_c 7.8598
_cell_angle_alpha 90.00
_cell_angle_beta 90.00
_cell_angle_gamma 90.00
loop_
_atom_site_label
_atom_site_type_symbol
_atom_site_fract_x
_atom_site_fract_y
_atom_site_fract_z
Rb1 Rb 0.0000 0.0000 0.0000
Cd1 Cd 0.2500 0.2500 0.2500
Sn1 Sn 0.0000 0.0000 0.5000
Hg1 Hg 0.2500 0.2500 0.7500
```

The 10 most intense peaks (10° ≤ 2θ ≤ 80°), in order of rising 2θ:
| Position (°2θ) | d_spacing | I (rel.) | hkl |
| --- | --- | --- | --- |
| 19.56 | 4.538 | 6 | 1 1 1 |
| 22.63 | 3.930 | 5 | 2 0 0 |
| 32.21 | 2.779 | 100 | 2 2 0 |
| 37.97 | 2.370 | 4 | 3 1 1 |
| 46.20 | 1.965 | 18 | 4 0 0 |
| 50.62 | 1.803 | 2 | 3 3 1 |
| 52.03 | 1.758 | 2 | 4 2 0 |
| 57.44 | 1.604 | 38 | 4 2 2 |
| 67.40 | 1.389 | 12 | 4 4 0 |
| 76.68 | 1.243 | 17 | 6 2 0 |